LiPd2F5: theoretical X-ray powder pattern (Cu Kα (weighted mean of Kα1 and Kα2)), based on a crystal structure in Alexandria, relaxed with PBE.
Peak positions follow from Bragg's law for the DFT cell and can differ from measured ones.

Largest 8 diffraction maxima, most intense first, 10° ≤ 2θ ≤ 90°:
Position (°2θ)  I/Imax  (hkl)
26.68  100  0 1 1
21.43  99  0 1 -1
23.54  78  1 0 0
48.93  30  -1 2 2
34.72  30  0 2 0
43.67  25  0 2 -2
43.45  25  -2 1 1
32.23  24  1 1 -1

Atomic structure:
```
data_LiPd2F5
_symmetry_space_group_name_H-M 'P 1'
_symmetry_Int_Tables_number 1
_cell_length_a 4.2060
_cell_length_b 5.5327
_cell_length_c 5.6132
_cell_angle_alpha 96.14
_cell_angle_beta 106.77
_cell_angle_gamma 107.33
loop_
_symmetry_equiv_pos_as_xyz
'x,y,z'
loop_
_atom_site_label
_atom_site_type_symbol
_atom_site_fract_x
_atom_site_fract_y
_atom_site_fract_z
_atom_site_occupancy
Li1 Li 0.0000 0.0000 0.0000 1
Pd1 Pd 0.3823 0.1081 0.6185 1
Pd2 Pd 0.3956 0.6101 0.1312 1
F1 F 0.1515 0.3067 0.8019 1
F2 F 0.2690 0.2580 0.3058 1
F3 F 0.4835 0.9553 0.9335 1
F4 F 0.6178 0.8896 0.4708 1
F5 F 0.9035 0.6527 0.1068 1
```